# Tb4PmSc
Calculated powder X-ray diffraction pattern, Cu Kα X-rays. Input: DFT lattice parameters and positions (GGA-PBE).
No peak broadening, texture or thermal motion is included.

Cell: 10.903 5.828 5.887 Å, 90.00 90.06 90.00°
Space group C2/m (No. 12)
Inequivalent atoms, fractional coordinates:
Tb 0.164 0.000 0.475 x4
Tb 0.167 0.500 0.022 x4
Pm 0.000 0.500 0.500 x2
Sc 0.000 0.000 0.000 x2

Top 10 peaks for 2θ from 10° to 80°, by intensity:
d 2.732, 2θ 32.8, intensity 100.0, (3 1 -1); d 2.914, 2θ 30.7, intensity 30.1, (0 2 0); d 2.944, 2θ 30.4, intensity 28.9, (0 0 2); d 1.645, 2θ 55.9, intensity 21.7, (3 3 -1); d 2.071, 2θ 43.7, intensity 21.4, (0 2 2); d 1.656, 2θ 55.5, intensity 19.4, (3 1 -3); d 1.366, 2θ 68.7, intensity 11.0, (6 2 -2); d 1.542, 2θ 60.0, intensity 8.8, (6 2 0); d 1.291, 2θ 73.4, intensity 8.4, (3 3 -3); d 1.546, 2θ 59.8, intensity 8.4, (6 0 -2)